Entry 1:
Simulated powder XRD pattern
Compound: NdMgAu2
Radiation: Cu Kα (weighted mean of Kα1 and Kα2)
Structure: the PBE geometry in the Materials Project
No peak broadening, texture or thermal motion is included.

Structure:
Cell lengths 7.1231, 7.1231, 7.1231 Å; angles 90.00, 90.00, 90.00 degrees
Space group Fm-3m (No. 225)
Asymmetric unit:
1 Nd 0.0000 0.0000 0.0000 [4 per cell]
2 Mg 0.0000 0.0000 0.5000 [4 per cell]
3 Au 0.2500 0.2500 0.2500 [8 per cell]

Top 10 peaks for 10 to 90 degrees two-theta, in order of falling intensity:
2theta  I/Imax  hkl
35.65  100  2 2 0
64.04  37  4 2 2
25.00  19  2 0 0
51.30  18  4 0 0
86.39  17  6 2 0
75.50  12  4 4 0
21.61  10  1 1 1
57.90  8  4 2 0
44.04  6  2 2 2
42.07  6  3 1 1

***

Entry 2:
Simulated powder XRD pattern
Compound: Ti3Pt
Radiation: Cu Kα (weighted mean of Kα1 and Kα2)
Structure: the PBE geometry in the Materials Project
No peak broadening, texture or thermal motion is included.

Structure:
Cell lengths 5.0437, 5.0437, 5.0437 Å; angles 90.00, 90.00, 90.00 degrees
Space group Pm-3n (No. 223)
Asymmetric unit:
1 Ti 0.0000 0.2500 0.5000 [6 per cell]
2 Pt 0.0000 0.0000 0.0000 [2 per cell]

Top 10 peaks for 10 to 90 degrees two-theta, in order of falling intensity:
2theta  I/Imax  hkl
43.97  100  2 1 1
24.97  80  1 1 0
69.77  50  3 2 1
35.60  45  2 0 0
39.97  20  2 1 0
57.81  17  3 1 0
86.25  14  4 2 0
51.23  12  2 2 0
80.85  11  4 1 1
75.38  9  4 0 0

***

Entry 3:
Simulated powder XRD pattern
Compound: NaHfCuSe3
Radiation: Cu Kα (weighted mean of Kα1 and Kα2)
Structure: the PBE geometry in the Materials Project
No peak broadening, texture or thermal motion is included.

Structure:
Cell lengths 13.7232, 3.8390, 10.3081 Å; angles 90.00, 90.00, 90.00 degrees
Space group Pnma (No. 62)
Asymmetric unit:
1 Na 0.2295 0.2500 0.0408 [4 per cell]
2 Hf 0.0110 0.2500 0.3221 [4 per cell]
3 Cu 0.0089 0.7500 0.0906 [4 per cell]
4 Se 0.1013 0.2500 0.5644 [4 per cell]
5 Se 0.1044 0.7500 0.8789 [4 per cell]
6 Se 0.1375 0.7500 0.2545 [4 per cell]

Top 10 peaks for 10 to 90 degrees two-theta, in order of falling intensity:
2theta  I/Imax  hkl
12.90  100  2 0 0
35.13  39  3 1 2
44.19  39  5 1 2
31.64  22  3 1 1
29.06  20  2 0 3
28.00  18  2 1 1
36.18  16  4 1 1
47.36  16  0 2 0
42.77  12  1 1 4
32.59  11  3 0 3

***

Entry 4:
Simulated powder XRD pattern
Compound: Li5Ti8O16
Radiation: Cu Kα (weighted mean of Kα1 and Kα2)
Structure: the PBE geometry in the Materials Project
No peak broadening, texture or thermal motion is included.

Structure:
Cell lengths 5.3207, 7.6610, 7.8747 Å; angles 93.60, 105.76, 108.83 degrees
Space group P1 (No. 1)
Asymmetric unit:
1 Li 0.0000 0.0000 0.0000 [1 per cell]
2 Li 0.0136 0.4933 0.4888 [1 per cell]
3 Li 0.0867 0.8474 0.5824 [1 per cell]
4 Li 0.5063 0.5002 0.9989 [1 per cell]
5 Li 0.5604 0.3281 0.5832 [1 per cell]
6 Ti 0.0093 0.1110 0.3489 [1 per cell]
7 Ti 0.0418 0.6130 0.8711 [1 per cell]
8 Ti 0.0452 0.2221 0.7236 [1 per cell]
9 Ti 0.0632 0.7266 0.2203 [1 per cell]
10 Ti 0.5182 0.6148 0.3479 [1 per cell]
11 Ti 0.5359 0.1120 0.8724 [1 per cell]
12 Ti 0.5511 0.2190 0.2209 [1 per cell]
13 Ti 0.5594 0.7267 0.7198 [1 per cell]
14 O 0.2551 0.9940 0.2324 [1 per cell]
15 O 0.2611 0.1180 0.6162 [1 per cell]
16 O 0.2693 0.4930 0.7408 [1 per cell]
17 O 0.2836 0.6120 0.1068 [1 per cell]
18 O 0.3033 0.7189 0.4729 [1 per cell]
19 O 0.3041 0.2238 0.9682 [1 per cell]
20 O 0.3081 0.8436 0.8323 [1 per cell]
21 O 0.3162 0.3450 0.3493 [1 per cell]
22 O 0.7649 0.4930 0.2400 [1 per cell]
23 O 0.7740 0.9922 0.7496 [1 per cell]
24 O 0.7765 0.6148 0.6106 [1 per cell]
25 O 0.7767 0.1094 0.1081 [1 per cell]
26 O 0.8040 0.3439 0.8336 [1 per cell]
27 O 0.8068 0.7204 0.9668 [1 per cell]
28 O 0.8087 0.2293 0.4745 [1 per cell]
29 O 0.8247 0.8429 0.3467 [1 per cell]

Top 10 peaks for 10 to 90 degrees two-theta, in order of falling intensity:
2theta  I/Imax  hkl
24.91  100  0 2 0
23.80  73  0 0 2
40.04  51  -2 2 2
44.07  45  1 -1 3
46.64  38  1 3 -1
61.04  33  3 -3 1
37.08  23  2 -2 0
51.28  22  1 1 3
56.26  21  -2 4 2
66.10  21  2 2 2

***

Entry 5:
Simulated powder XRD pattern
Compound: MnNCl3
Radiation: Cu Kα (weighted mean of Kα1 and Kα2)
Structure: the PBE geometry in the Materials Project
No peak broadening, texture or thermal motion is included.

Structure:
Cell lengths 9.3667, 9.4230, 9.4951 Å; angles 90.00, 90.00, 90.00 degrees
Space group Cmcm (No. 63)
Asymmetric unit:
1 Mn 0.2500 0.2500 0.0000 [8 per cell]
2 N 0.0000 0.0138 0.2500 [4 per cell]
3 N 0.0000 0.4861 0.7500 [4 per cell]
4 Cl 0.0000 0.2081 0.5181 [8 per cell]
5 Cl 0.2042 0.5000 0.0000 [8 per cell]
6 Cl 0.2315 0.2486 0.2500 [8 per cell]

Top 10 peaks for 10 to 90 degrees two-theta, in order of falling intensity:
2theta  I/Imax  hkl
18.69  100  0 0 2
18.83  88  0 2 0
18.95  82  2 0 0
37.90  75  0 0 4
38.20  61  0 4 0
38.44  55  4 0 0
32.91  42  2 2 2
43.01  41  2 4 0
42.68  38  2 0 4
54.91  36  0 4 4

***

Entry 6:
Simulated powder XRD pattern
Compound: CeZr9O20
Radiation: Cu Kα (weighted mean of Kα1 and Kα2)
Structure: the PBE geometry in the Materials Project
No peak broadening, texture or thermal motion is included.

Structure:
Cell lengths 6.4618, 7.4315, 8.2094 Å; angles 77.23, 75.28, 72.06 degrees
Space group P1 (No. 1)
Asymmetric unit:
1 Ce 0.0000 0.0000 0.0000 [1 per cell]
2 Zr 0.1976 0.3027 0.5995 [1 per cell]
3 Zr 0.2028 0.7982 0.5956 [1 per cell]
4 Zr 0.4003 0.5944 0.2021 [1 per cell]
5 Zr 0.4013 0.0963 0.2026 [1 per cell]
6 Zr 0.5955 0.4006 0.7989 [1 per cell]
7 Zr 0.6028 0.8960 0.7989 [1 per cell]
8 Zr 0.7969 0.6990 0.4021 [1 per cell]
9 Zr 0.7989 0.2013 0.4021 [1 per cell]
10 Zr 0.9987 0.5006 0.9956 [1 per cell]
11 O 0.0172 0.6737 0.1634 [1 per cell]
12 O 0.0810 0.2233 0.1415 [1 per cell]
13 O 0.1164 0.0749 0.4592 [1 per cell]
14 O 0.1832 0.6195 0.4400 [1 per cell]
15 O 0.2271 0.4717 0.7618 [1 per cell]
16 O 0.2859 0.0198 0.7348 [1 per cell]
17 O 0.3333 0.8755 0.0650 [1 per cell]
18 O 0.3823 0.4210 0.0388 [1 per cell]
19 O 0.4088 0.2818 0.3595 [1 per cell]
20 O 0.4788 0.8201 0.3445 [1 per cell]
21 O 0.5176 0.6778 0.6614 [1 per cell]
22 O 0.5838 0.2213 0.6387 [1 per cell]
23 O 0.6141 0.0827 0.9571 [1 per cell]
24 O 0.6788 0.6203 0.9416 [1 per cell]
25 O 0.7153 0.4758 0.2609 [1 per cell]
26 O 0.7648 0.0229 0.2488 [1 per cell]
27 O 0.8169 0.8761 0.5613 [1 per cell]
28 O 0.8847 0.4199 0.5330 [1 per cell]
29 O 0.9180 0.2938 0.8519 [1 per cell]
30 O 0.9794 0.8076 0.8337 [1 per cell]

Top 10 peaks for 10 to 90 degrees two-theta, in order of falling intensity:
2theta  I/Imax  hkl
29.57  100  2 0 1
49.05  37  3 2 3
58.87  27  3 0 4
49.66  19  0 2 4
57.76  14  4 2 1
34.55  14  1 0 3
79.59  11  5 2 4
33.71  9  2 2 0
61.37  7  4 0 2
72.87  5  2 0 6